Diffraction record for CsKPdBr4. The powder X-ray diffraction pattern is computed, not measured: it uses a DFT-relaxed cell (PBE, OQMD) and CuKα.

The 12 most intense peaks (10 to 80 degrees two-theta), sorted by position:
- 2θ 11.87, intensity 72.7
- 2θ 19.27, intensity 36.1
- 2θ 22.27, intensity 50.1
- 2θ 25.30, intensity 100.0
- 2θ 29.56, intensity 45.7
- 2θ 30.86, intensity 46.4
- 2θ 32.83, intensity 95.5
- 2θ 39.12, intensity 29.6
- 2θ 42.85, intensity 25.9
- 2θ 46.25, intensity 30.4
- 2θ 51.96, intensity 45.5
- 2θ 54.26, intensity 22.2

Unit cell a=4.606 b=7.456 c=8.007 alpha=90.00 beta=90.00 gamma=90.00
Positions (direct):
Cs1 0.000 0.000 0.000
K1 0.000 0.500 0.500
Pd1 0.500 0.000 0.500
Br1 0.500 0.237 0.284
Br2 0.500 0.237 0.716
Br3 0.500 0.763 0.284
Br4 0.500 0.763 0.716

***

Diffraction record for Hf3Cu4Bi2Sb2. The powder X-ray diffraction pattern is computed, not measured: it uses a DFT-relaxed cell (PBE, OQMD) and CuKα.

The 12 most intense peaks (10 to 80 degrees two-theta), sorted by position:
- 2θ 15.97, intensity 8.6
- 2θ 20.25, intensity 11.0
- 2θ 24.84, intensity 11.1
- 2θ 28.69, intensity 16.7
- 2θ 28.79, intensity 33.2
- 2θ 41.12, intensity 100.0
- 2θ 50.95, intensity 14.3
- 2θ 59.63, intensity 11.0
- 2θ 67.33, intensity 6.4
- 2θ 67.52, intensity 12.8
- 2θ 74.82, intensity 11.3
- 2θ 74.98, intensity 22.4

Unit cell a=7.614 b=7.614 c=7.614 alpha=131.93 beta=131.93 gamma=70.34
Positions (direct):
Hf1 0.000 0.000 0.000
Hf2 0.250 0.750 0.500
Hf3 0.750 0.250 0.500
Cu1 0.135 0.135 0.517
Cu2 0.382 0.865 0.000
Cu3 0.618 0.618 0.483
Cu4 0.865 0.382 0.000
Bi1 0.000 0.500 0.500
Bi2 0.500 0.000 0.500
Sb1 0.252 0.252 0.000
Sb2 0.748 0.748 0.000

***

Diffraction record for BaHoCuSi3. The powder X-ray diffraction pattern is computed, not measured: it uses a DFT-relaxed cell (PBE, OQMD) and CuKα.

The 12 most intense peaks (10 to 80 degrees two-theta), sorted by position:
- 2θ 24.47, intensity 16.4
- 2θ 25.10, intensity 34.1
- 2θ 31.86, intensity 55.3
- 2θ 32.36, intensity 100.0
- 2θ 40.84, intensity 19.0
- 2θ 43.45, intensity 32.5
- 2θ 44.59, intensity 15.2
- 2θ 48.54, intensity 10.9
- 2θ 55.84, intensity 22.6
- 2θ 61.15, intensity 22.3
- 2θ 62.05, intensity 10.8
- 2θ 72.18, intensity 10.6

Unit cell a=8.513 b=8.335 c=6.004 alpha=70.73 beta=67.54 gamma=41.73
Positions (direct):
Ba1 0.250 0.250 0.250
Ba2 0.750 0.750 0.750
Ho1 0.237 0.763 0.237
Ho2 0.763 0.237 0.763
Cu1 0.338 0.338 0.662
Cu2 0.662 0.662 0.338
Si1 0.158 0.158 0.842
Si2 0.177 0.664 0.823
Si3 0.336 0.823 0.664
Si4 0.664 0.177 0.336
Si5 0.823 0.336 0.177
Si6 0.842 0.842 0.158

***

Diffraction record for Sm2TlFeCu. The powder X-ray diffraction pattern is computed, not measured: it uses a DFT-relaxed cell (PBE, OQMD) and CuKα.

The 12 most intense peaks (10 to 80 degrees two-theta), sorted by position:
- 2θ 28.39, intensity 46.8
- 2θ 32.62, intensity 100.0
- 2θ 34.07, intensity 68.6
- 2θ 36.99, intensity 11.2
- 2θ 37.79, intensity 36.9
- 2θ 43.92, intensity 23.1
- 2θ 47.84, intensity 18.0
- 2θ 54.98, intensity 17.2
- 2θ 56.57, intensity 14.3
- 2θ 56.72, intensity 31.9
- 2θ 62.52, intensity 16.6
- 2θ 66.95, intensity 13.0

Unit cell a=3.803 b=7.576 c=7.576 alpha=31.58 beta=90.00 gamma=90.00
Positions (direct):
Sm1 0.000 0.000 0.000
Sm2 0.000 0.272 0.272
Tl1 0.500 0.640 0.640
Fe1 0.500 0.841 0.841
Cu1 0.500 0.434 0.434